Computed PXRD pattern of Rb2U3I4O20 for Cu Kα, from the GGA-PBE geometry in Alexandria.

Structural model:
```
data_Rb2U3I4O20
_chemical_formula_sum 'Rb2 U3 I4 O20'
_symmetry_space_group_name_H-M 'P -1'
_symmetry_Int_Tables_number 2
_symmetry_space_group_name_Hall '-P 1'
_cell_length_a 7.1001
_cell_length_b 8.2895
_cell_length_c 9.4276
_cell_angle_alpha 90.13
_cell_angle_beta 104.51
_cell_angle_gamma 91.42
loop_
_atom_site_label
_atom_site_fract_x
_atom_site_fract_y
_atom_site_fract_z
Rb1 0.2497 0.0985 0.3443
U1 0.0000 0.5000 0.5000
U2 0.4525 0.5860 0.3123
I1 0.1189 0.2879 0.8672
I2 0.3024 0.8541 0.9495
O1 0.0425 0.7046 0.5761
O2 0.0526 0.7908 0.9556
O3 0.0991 0.0913 0.7810
O4 0.1148 0.6226 0.2243
O5 0.2237 0.4007 0.7292
O6 0.3104 0.4917 0.4884
O7 0.3521 0.0276 0.0747
O8 0.4252 0.3838 0.2293
O9 0.4417 0.6998 0.0702
O10 0.4755 0.7932 0.3859
```

The 10 most intense peaks (2θ = 10–90°), sorted by position:
h k l  2θ (°)  I (rel.)
0 1 0  10.68  58.6
0 1 1  14.50  100.0
1 1 -2  23.23  40.9
0 2 1  23.66  82.0
1 0 2  26.00  43.9
-2 1 1  27.30  42.5
1 -2 1  27.81  51.4
1 -1 2  27.99  39.7
2 1 0  28.38  55.5
1 0 -3  28.97  40.3